La4InRe: simulated powder diffractogram (Cu Kα (weighted mean of Kα1 and Kα2)), based on a DFT-relaxed cell (PBE, Alexandria).

Structure:
Lattice parameters (Å, degrees): 8.375 8.375 6.348 100.85 100.85 114.07
Element x y z (fractional)
La (0.058, 0.721, 0.944)
La (0.205, 0.354, 0.631)
La (0.279, 0.942, 0.556)
La (0.354, 0.205, 0.131)
La (0.646, 0.795, 0.869)
La (0.721, 0.058, 0.444)
La (0.795, 0.646, 0.369)
La (0.942, 0.279, 0.056)
In (0.377, 0.623, 0.250)
In (0.623, 0.377, 0.750)
Re (0.001, 0.999, 0.250)
Re (0.999, 0.001, 0.750)

Largest 12 diffraction maxima, in order of falling intensity, 15° ≤ 2θ ≤ 90°:
| 2θ/deg | d_spacing | I (rel.) |
| --- | --- | --- |
| 32.32 | 2.770 | 100 |
| 30.39 | 2.941 | 74 |
| 34.12 | 2.628 | 69 |
| 32.68 | 2.740 | 67 |
| 33.56 | 2.670 | 52 |
| 35.81 | 2.508 | 45 |
| 40.29 | 2.239 | 45 |
| 36.92 | 2.435 | 40 |
| 28.84 | 3.096 | 34 |
| 44.09 | 2.054 | 33 |
| 33.13 | 2.704 | 32 |
| 29.52 | 3.026 | 31 |